Entry 1:
Starting from a DFT-relaxed cell (GGA+U, the Materials Project), the powder diffractogram of Li4Mn3V2Co3O16 was computed for Cu Kα X-rays.
Peak positions follow from Bragg's law for the DFT cell and can differ from measured ones.

Top 12 peaks for 2θ from 10° to 90°, low angle first:
- 18.69°, I 100, hkl 0 0 2
- 19.78°, I 78, hkl 2 0 -1
- 19.93°, I 71, hkl 1 1 1
- 33.50°, I 32, hkl 1 1 3
- 36.08°, I 23, hkl 0 2 2
- 36.66°, I 26, hkl 2 2 -1
- 36.79°, I 45, hkl 4 0 1
- 40.49°, I 32, hkl 2 2 2
- 45.74°, I 36, hkl 2 2 -3
- 46.04°, I 29, hkl 2 2 3
- 60.78°, I 23, hkl 2 2 -5
- 63.56°, I 39, hkl 6 2 0

Structural model:
abc: 10.148 5.846 9.496
angles: 90.00 90.73 90.00
Space group Cm (No. 8)
One atom of each set of equivalent atoms:
Li 0.000 0.000 0.000 x2
Li 0.006 0.000 0.511 x2
Li 0.168 0.500 0.912 x2
Li 0.334 0.000 0.409 x2
Mn 0.086 0.254 0.227 x4
Mn 0.179 0.000 0.729 x2
V 0.175 0.500 0.508 x2
V 0.343 0.000 0.995 x2
Co 0.333 0.500 0.222 x2
Co 0.419 0.242 0.725 x4
O 0.000 0.000 0.320 x2
O 0.010 0.000 0.811 x2
O 0.022 0.500 0.347 x2
O 0.099 0.257 0.598 x4
O 0.163 0.000 0.116 x2
O 0.167 0.500 0.124 x2
O 0.237 0.277 0.352 x4
O 0.252 0.215 0.859 x4
O 0.331 0.500 0.591 x2
O 0.332 0.000 0.618 x2
O 0.421 0.251 0.111 x4
O 0.480 0.000 0.875 x2

---

Entry 2:
Starting from a DFT-relaxed cell (GGA+U, the Materials Project), the powder diffractogram of Na2Li3CoO4 was computed for Cu Kα X-rays.
Peak positions follow from Bragg's law for the DFT cell and can differ from measured ones.

Top 12 peaks for 2θ from 10° to 90°, low angle first:
- 17.21°, I 97, hkl 0 1 1
- 20.46°, I 77, hkl 1 1 1
- 22.09°, I 46, hkl 2 0 0
- 24.26°, I 99, hkl 1 2 0
- 28.14°, I 56, hkl 2 1 1
- 34.82°, I 100, hkl 0 2 2
- 35.17°, I 95, hkl 3 1 0
- 36.62°, I 46, hkl 1 2 2
- 37.16°, I 76, hkl 1 3 1
- 45.06°, I 35, hkl 4 0 0
- 49.45°, I 60, hkl 3 3 1
- 55.69°, I 38, hkl 0 0 4

Structural model:
abc: 8.048 8.243 6.602
angles: 90.00 90.00 90.00
Space group Pnnm (No. 58)
One atom of each set of equivalent atoms:
Na 0.000 0.000 0.244 x4
Na 0.241 0.251 0.500 x4
Li 0.014 0.650 0.255 x8
Li 0.236 0.593 0.500 x4
Co 0.224 0.382 0.000 x4
O 0.046 0.226 0.000 x4
O 0.062 0.779 0.500 x4
O 0.197 0.485 0.247 x8

---

Entry 3:
Starting from a DFT-relaxed cell (GGA+U, the Materials Project), the powder diffractogram of Na2Li2CoO4 was computed for Cu Kα X-rays.
Peak positions follow from Bragg's law for the DFT cell and can differ from measured ones.

Top 12 peaks for 2θ from 10° to 90°, low angle first:
- 17.26°, I 82, hkl 1 1 -1
- 20.50°, I 51, hkl 1 1 0
- 20.61°, I 29, hkl 1 1 -2
- 22.25°, I 51, hkl 0 0 2
- 23.95°, I 66, hkl 0 2 1
- 27.46°, I 25, hkl 2 0 -2
- 28.38°, I 25, hkl 1 1 -3
- 34.93°, I 100, hkl 2 2 -2
- 35.35°, I 35, hkl 0 1 3
- 36.74°, I 60, hkl 1 3 -2
- 45.40°, I 25, hkl 0 0 4
- 49.19°, I 31, hkl 1 3 2

Structural model:
abc: 6.497 8.392 10.261
angles: 90.00 128.85 90.00
Space group P2_1/c (No. 14)
One atom of each set of equivalent atoms:
Na 0.236 0.239 0.249 x4
Na 0.257 0.022 0.002 x4
Li 0.190 0.590 0.211 x4
Li 0.261 0.637 0.007 x4
Co 0.294 0.627 0.777 x4
O 0.058 0.529 0.790 x4
O 0.100 0.716 0.570 x4
O 0.423 0.718 0.434 x4
O 0.474 0.506 0.206 x4

---

Entry 4:
Starting from a DFT-relaxed cell (GGA+U, the Materials Project), the powder diffractogram of Na2Li2CoO4 was computed for Cu Kα X-rays.
Peak positions follow from Bragg's law for the DFT cell and can differ from measured ones.

Top 12 peaks for 2θ from 10° to 90°, low angle first:
- 17.02°, I 45, hkl 1 0 1
- 17.35°, I 47, hkl 1 0 -1
- 20.62°, I 47, hkl -1 1 1
- 22.21°, I 52, hkl 0 2 0
- 24.13°, I 100, hkl 0 1 -2
- 27.09°, I 30, hkl 2 0 0
- 34.42°, I 53, hkl 2 0 2
- 35.11°, I 52, hkl 2 0 -2
- 35.26°, I 37, hkl 0 3 1
- 35.38°, I 44, hkl 0 3 -1
- 45.31°, I 29, hkl 0 4 0
- 55.84°, I 35, hkl 4 0 0

Structural model:
abc: 6.585 8.005 8.313
angles: 89.87 88.87 89.70
Space group P1 (No. 1)
One atom of each set of equivalent atoms:
Na 0.000 0.000 0.000 x1
Na 0.021 0.478 0.467 x1
Na 0.237 0.260 0.735 x1
Na 0.259 0.748 0.264 x1
Na 0.461 0.048 0.476 x1
Na 0.485 0.501 0.983 x1
Na 0.730 0.752 0.241 x1
Na 0.751 0.258 0.722 x1
Li 0.015 0.965 0.644 x1
Li 0.242 0.747 0.863 x1
Li 0.244 0.248 0.108 x1
Li 0.493 0.022 0.152 x1
Li 0.740 0.774 0.582 x1
Li 0.742 0.250 0.104 x1
Li 0.746 0.743 0.882 x1
Li 0.993 0.527 0.812 x1
Co 0.490 0.539 0.600 x1
Co 0.498 0.988 0.862 x1
Co 0.986 0.039 0.359 x1
Co 0.992 0.494 0.093 x1
O 0.000 0.182 0.524 x1
O 0.220 0.045 0.237 x1
O 0.229 0.478 0.179 x1
O 0.261 0.971 0.764 x1
O 0.263 0.550 0.732 x1
O 0.493 0.328 0.542 x1
O 0.496 0.817 0.007 x1
O 0.499 0.187 0.968 x1
O 0.506 0.712 0.461 x1
O 0.731 0.565 0.718 x1
O 0.732 0.956 0.750 x1
O 0.745 0.481 0.163 x1
O 0.762 0.051 0.235 x1
O 0.976 0.830 0.447 x1
O 0.994 0.705 0.998 x1
O 0.997 0.302 0.965 x1

---

Entry 5:
Starting from a DFT-relaxed cell (GGA+U, the Materials Project), the powder diffractogram of Li4Nb2Co3Ni3O16 was computed for Cu Kα X-rays.
Peak positions follow from Bragg's law for the DFT cell and can differ from measured ones.

Top 12 peaks for 2θ from 10° to 90°, low angle first:
- 18.66°, I 59, hkl 0 0 2
- 19.44°, I 35, hkl 0 1 -1
- 19.75°, I 35, hkl 1 0 -1
- 19.85°, I 36, hkl 1 -1 1
- 20.07°, I 100, hkl 1 0 1
- 33.76°, I 28, hkl 1 0 3
- 35.56°, I 28, hkl 1 -2 2
- 36.45°, I 57, hkl 1 1 2
- 36.72°, I 33, hkl 2 0 -1
- 37.09°, I 29, hkl -2 2 1
- 46.41°, I 26, hkl 0 2 3
- 63.32°, I 22, hkl 2 2 0

Structural model:
abc: 5.790 5.866 9.519
angles: 91.63 90.29 119.43
Space group P1 (No. 1)
One atom of each set of equivalent atoms:
Li 0.000 0.000 0.000 x1
Li 0.001 0.005 0.500 x1
Li 0.342 0.687 0.594 x1
Li 0.668 0.344 0.097 x1
Nb 0.339 0.671 0.996 x1
Nb 0.677 0.354 0.498 x1
Co 0.170 0.834 0.277 x1
Co 0.663 0.838 0.279 x1
Co 0.832 0.666 0.777 x1
Ni 0.173 0.346 0.280 x1
Ni 0.340 0.175 0.778 x1
Ni 0.833 0.175 0.778 x1
O 0.038 0.542 0.157 x1
O 0.158 0.827 0.900 x1
O 0.160 0.326 0.905 x1
O 0.330 0.160 0.401 x1
O 0.345 0.701 0.380 x1
O 0.482 0.970 0.162 x1
O 0.493 0.538 0.155 x1
O 0.525 0.050 0.651 x1
O 0.532 0.507 0.650 x1
O 0.669 0.829 0.899 x1
O 0.679 0.359 0.877 x1
O 0.830 0.164 0.400 x1
O 0.840 0.680 0.388 x1
O 0.973 0.508 0.651 x1
O 0.991 0.988 0.689 x1
O 0.996 0.986 0.189 x1

---

Entry 6:
Starting from a DFT-relaxed cell (GGA+U, the Materials Project), the powder diffractogram of LiNbCoO4 was computed for Cu Kα X-rays.
Peak positions follow from Bragg's law for the DFT cell and can differ from measured ones.

Top 12 peaks for 2θ from 10° to 90°, low angle first:
- 14.36°, I 40, hkl 1 0 0
- 22.92°, I 65, hkl 1 1 1
- 25.46°, I 46, hkl 1 0 2
- 29.35°, I 35, hkl 1 1 2
- 32.45°, I 18, hkl 2 1 0
- 34.17°, I 100, hkl 2 1 1
- 34.86°, I 48, hkl 1 0 3
- 47.84°, I 17, hkl 3 1 1
- 51.55°, I 18, hkl 3 1 2
- 54.72°, I 25, hkl 3 2 1
- 59.98°, I 20, hkl 4 0 0
- 60.88°, I 42, hkl 2 2 4

Structural model:
abc: 6.170 6.170 8.496
angles: 90.00 90.00 90.00
Space group P4_322 (No. 95)
One atom of each set of equivalent atoms:
Li 0.000 0.221 0.000 x4
Nb 0.214 0.500 0.250 x4
Co 0.259 0.259 0.625 x4
O 0.016 0.264 0.254 x8
O 0.265 0.482 0.016 x8

---

Entry 7:
Starting from a DFT-relaxed cell (GGA+U, the Materials Project), the powder diffractogram of Li2NbCo3O8 was computed for Cu Kα X-rays.
Peak positions follow from Bragg's law for the DFT cell and can differ from measured ones.

Top 12 peaks for 2θ from 10° to 90°, low angle first:
- 17.89°, I 12, hkl 0 0 3
- 18.05°, I 100, hkl 1 0 1
- 34.73°, I 19, hkl 0 1 5
- 34.92°, I 38, hkl 1 1 3
- 36.57°, I 14, hkl 2 0 2
- 42.39°, I 59, hkl 0 2 4
- 46.55°, I 10, hkl 2 1 1
- 56.03°, I 13, hkl 1 2 5
- 56.15°, I 8, hkl 0 3 3
- 61.27°, I 18, hkl 2 0 8
- 61.72°, I 18, hkl 2 2 0
- 77.73°, I 7, hkl 4 0 4

Structural model:
abc: 6.0120 6.0120 14.8726
angles: 90.00 90.00 120.00
Space group R-3m (No. 166, hexagonal axes)
One atom of each set of equivalent atoms:
Li 0.0000 0.0000 0.1247 x6
Nb 0.0000 0.0000 0.5000 x3
Co 0.0000 0.5000 0.0000 x9
O 0.0000 0.0000 0.2670 x6
O 0.0285 0.5143 0.2516 x18

---

Entry 8:
Starting from a DFT-relaxed cell (GGA+U, the Materials Project), the powder diffractogram of Li5Nb2Co3O10 was computed for Cu Kα X-rays.
Peak positions follow from Bragg's law for the DFT cell and can differ from measured ones.

Top 12 peaks for 2θ from 10° to 90°, low angle first:
- 12.40°, I 28, hkl 0 0 1
- 17.70°, I 66, hkl 0 1 0
- 18.11°, I 36, hkl 1 0 -1
- 22.17°, I 16, hkl 1 -1 0
- 26.20°, I 16, hkl 0 1 -2
- 35.14°, I 11, hkl 1 -1 2
- 35.26°, I 10, hkl 1 0 -3
- 35.84°, I 10, hkl 0 2 0
- 42.36°, I 100, hkl 2 1 -1
- 60.52°, I 10, hkl -2 3 1
- 61.02°, I 11, hkl 1 2 2
- 61.14°, I 10, hkl 1 3 -3

Structural model:
abc: 5.210 5.306 7.876
angles: 102.03 109.06 99.92
Space group P-1 (No. 2)
One atom of each set of equivalent atoms:
Li 0.000 0.000 0.000 x1
Li 0.178 0.502 0.904 x2
Li 0.374 0.488 0.298 x2
Nb 0.400 0.012 0.788 x2
Co 0.000 0.500 0.500 x1
Co 0.184 0.005 0.411 x2
O 0.023 0.756 0.748 x2
O 0.210 0.267 0.665 x2
O 0.224 0.764 0.158 x2
O 0.405 0.216 0.043 x2
O 0.408 0.758 0.561 x2

---

Entry 9:
Starting from a DFT-relaxed cell (GGA+U, the Materials Project), the powder diffractogram of Li4NbCo3O8 was computed for Cu Kα X-rays.
Peak positions follow from Bragg's law for the DFT cell and can differ from measured ones.

Top 12 peaks for 2θ from 10° to 90°, low angle first:
- 18.05°, I 100, hkl 1 0 1
- 34.76°, I 17, hkl 1 2 -1
- 35.04°, I 31, hkl 1 2 3
- 36.54°, I 18, hkl 2 0 2
- 36.62°, I 6, hkl 0 0 4
- 42.14°, I 24, hkl 0 2 -2
- 42.63°, I 46, hkl 2 2 4
- 46.32°, I 6, hkl -1 2 1
- 46.50°, I 6, hkl 1 0 5
- 61.41°, I 13, hkl 2 4 2
- 61.58°, I 13, hkl 2 2 -4
- 61.86°, I 13, hkl 0 2 6

Structural model:
abc: 5.998 6.037 10.394
angles: 73.67 73.30 60.26
Space group P-1 (No. 2)
One atom of each set of equivalent atoms:
Li 0.000 0.000 0.000 x1
Li 0.000 0.500 0.000 x1
Li 0.246 0.251 0.753 x2
Li 0.248 0.747 0.749 x2
Li 0.500 0.000 0.500 x1
Li 0.500 0.500 0.500 x1
Nb 0.000 0.500 0.500 x1
Nb 0.500 0.000 0.000 x1
Co 0.000 0.000 0.500 x1
Co 0.251 0.750 0.250 x2
Co 0.253 0.248 0.251 x2
Co 0.500 0.500 0.000 x1
O 0.119 0.131 0.612 x2
O 0.128 0.601 0.623 x2
O 0.142 0.119 0.120 x2
O 0.172 0.606 0.121 x2
O 0.326 0.902 0.378 x2
O 0.358 0.384 0.380 x2
O 0.374 0.881 0.882 x2
O 0.375 0.357 0.882 x2